Structure and computed XRD peak list of BaCaCrBiO6 (a crystal structure in Alexandria, relaxed with PBE+U; Cu Kα X-rays).
Lines closer than 0.1° are merged.

Main lines, by angle (15 to 90 degrees two-theta):
2θ = 18.7°, 4.753 Å, intensity 39
2θ = 21.6°, 4.116 Å, intensity 11
2θ = 30.7°, 2.911 Å, intensity 100
2θ = 36.2°, 2.482 Å, intensity 26
2θ = 44.0°, 2.058 Å, intensity 32
2θ = 48.2°, 1.889 Å, intensity 12
2θ = 54.6°, 1.680 Å, intensity 40
2θ = 64.0°, 1.455 Å, intensity 20
2θ = 72.6°, 1.302 Å, intensity 17
2θ = 89.0°, 1.100 Å, intensity 22

```
BaCaCrBiO6
1.0
0.000 4.116 4.116
4.116 0.000 4.116
4.116 4.116 0.000
Ba Ca Cr Bi O
1 1 1 1 6
Direct
0.000 0.000 0.000
0.500 0.500 0.500
0.750 0.750 0.750
0.250 0.250 0.250
0.505 0.505 0.995
0.505 0.995 0.505
0.505 0.995 0.995
0.995 0.505 0.505
0.995 0.505 0.995
0.995 0.995 0.505
```